Diffraction record for NaCo2S2. The powder diffraction line list is simulated, not measured: it uses DFT lattice parameters and positions (GGA-PBE) and Cu Kα X-rays.

```
data_NaCo2S2
_cell_length_a 5.7455
_cell_length_b 5.7455
_cell_length_c 6.0836
_cell_angle_alpha 109.21
_cell_angle_beta 109.21
_cell_angle_gamma 107.45
_space_group_name_H-M_alt 'P 1'
_space_group_IT_number 1
loop_
_space_group_symop_operation_xyz
'x,y,z'
loop_
_atom_site_label
_atom_site_fract_x
_atom_site_fract_y
_atom_site_fract_z
_atom_site_occupancy
Na1 0.1252 0.8748 0.7500 1
Na2 0.8748 0.1252 0.2500 1
Co1 0.2496 0.5005 0.0024 1
Co2 0.4995 0.7504 0.4976 1
Co3 0.5005 0.2496 0.5024 1
Co4 0.7504 0.4995 0.9976 1
S1 0.1797 0.8203 0.2500 1
S2 0.4302 0.5698 0.7500 1
S3 0.5698 0.4302 0.2500 1
S4 0.8203 0.1797 0.7500 1
```

Principal peaks in the range 10° ≤ 2θ ≤ 90°, sorted by position:
two_theta	I/Imax
18.41	100
31.15	26
31.72	28
32.68	29
38.89	24
41.84	41
42.01	11
48.95	20
49.09	20
51.95	12
53.95	15
56.01	17